# 1
This entry pairs a crystal structure of K6As3Br14 with its theoretical powder diffractogram. Radiation: a wavelength of 1.5418 Å. Structure: a crystal structure in Alexandria, relaxed with GGA-PBE.

```
data_K6As3Br14
_chemical_formula_sum 'K6 As3 Br14'
_space_group_name_H-M_alt 'P 1'
_space_group_IT_number 1
_cell_length_a 11.500
_cell_length_b 11.500
_cell_length_c 7.592
_cell_angle_alpha 90.00
_cell_angle_beta 90.00
_cell_angle_gamma 120.00
loop_
_space_group_symop_operation_xyz
'x,y,z'
loop_
_atom_site_label
_atom_site_type_symbol
_atom_site_fract_x
_atom_site_fract_y
_atom_site_fract_z
K1 K 0.045 0.560 0.000
K2 K 0.313 0.118 0.435
K3 K 0.440 0.485 0.000
K4 K 0.515 0.955 0.000
K5 K 0.805 0.687 0.435
K6 K 0.882 0.195 0.435
As1 As 0.000 0.000 0.888
As2 As 0.333 0.667 0.451
As3 As 0.667 0.333 0.812
Br1 Br 0.000 0.000 0.258
Br2 Br 0.093 0.873 0.739
Br3 Br 0.127 0.220 0.739
Br4 Br 0.188 0.431 0.263
Br5 Br 0.243 0.812 0.263
Br6 Br 0.333 0.667 0.791
Br7 Br 0.443 0.200 0.018
Br8 Br 0.536 0.421 0.610
Br9 Br 0.569 0.757 0.263
Br10 Br 0.579 0.114 0.610
Br11 Br 0.757 0.557 0.018
Br12 Br 0.780 0.907 0.739
Br13 Br 0.800 0.243 0.018
Br14 Br 0.886 0.464 0.610
```

Top 8 peaks for 5 to 70 degrees two-theta, low angle first:
6.038 Å, I 25
5.750 Å, I 31
3.547 Å, I 34
3.373 Å, I 100
3.042 Å, I 39
3.019 Å, I 37
2.013 Å, I 26
1.917 Å, I 25

***

# 2
This entry pairs a crystal structure of K3AsBr8 with its theoretical powder diffractogram. Radiation: a wavelength of 1.5418 Å. Structure: a crystal structure in Alexandria, relaxed with GGA-PBE.

```
data_K3AsBr8
_chemical_formula_sum 'K3 As1 Br8'
_space_group_name_H-M_alt 'P 1'
_space_group_IT_number 1
_cell_length_a 9.407
_cell_length_b 9.407
_cell_length_c 9.407
_cell_angle_alpha 133.85
_cell_angle_beta 133.85
_cell_angle_gamma 67.33
loop_
_space_group_symop_operation_xyz
'x,y,z'
loop_
_atom_site_label
_atom_site_type_symbol
_atom_site_fract_x
_atom_site_fract_y
_atom_site_fract_z
K1 K 0.000 0.000 0.000
K2 K 0.250 0.750 0.500
K3 K 0.750 0.250 0.500
As1 As 0.500 0.500 0.000
Br1 Br 0.165 0.165 0.552
Br2 Br 0.165 0.613 0.000
Br3 Br 0.387 0.387 0.552
Br4 Br 0.387 0.835 0.000
Br5 Br 0.613 0.165 0.000
Br6 Br 0.613 0.613 0.448
Br7 Br 0.835 0.387 0.000
Br8 Br 0.835 0.835 0.448
```

Top 8 peaks for 5 to 70 degrees two-theta, low angle first:
6.672 Å, I 21
4.340 Å, I 25
3.915 Å, I 19
3.687 Å, I 34
2.684 Å, I 100
2.607 Å, I 50
1.844 Å, I 17
1.520 Å, I 24